Entry 1:
Computed powder diffraction line list of La3AlCrS7 for Cu Kα (λ = 1.5418 Å), from the PBE geometry in the Materials Project.

Crystal structure
Cell lengths 10.214, 10.214, 6.050 Å; angles 90.00, 90.00, 120.00 degrees
Atoms (fractional coordinates):
La1 0.142 0.374 0.000
La2 0.232 0.858 0.000
La3 0.374 0.232 0.500
La4 0.626 0.768 0.000
La5 0.768 0.142 0.500
La6 0.858 0.626 0.500
Al1 0.333 0.667 0.419
Al2 0.667 0.333 0.919
Cr1 0.000 0.000 0.281
Cr2 0.000 0.000 0.781
S1 0.088 0.229 0.533
S2 0.100 0.580 0.276
S3 0.142 0.912 0.533
S4 0.229 0.142 0.033
S5 0.333 0.667 0.787
S6 0.420 0.519 0.276
S7 0.481 0.900 0.276
S8 0.519 0.100 0.776
S9 0.580 0.481 0.776
S10 0.667 0.333 0.287
S11 0.771 0.858 0.533
S12 0.858 0.088 0.033
S13 0.900 0.420 0.776
S14 0.912 0.771 0.033

Main lines, in order of rising 2θ (2θ = 5–70°):
d 4.994, I = 44; d 3.903, I = 33; d 3.571, I = 100; d 3.343, I = 41; d 2.651, I = 45; d 2.554, I = 36; d 2.497, I = 46; d 2.274, I = 46; d 2.243, I = 35; d 1.839, I = 29

***

Entry 2:
Computed powder diffraction line list of Tb2Ni3B6 for Cu Kα (λ = 1.5418 Å), from the PBE geometry in the Materials Project.

Crystal structure
Cell lengths 5.811, 5.811, 3.489 Å; angles 90.00, 90.00, 96.63 degrees
Atoms (fractional coordinates):
Tb1 0.225 0.775 0.000
Tb2 0.775 0.225 0.000
Ni1 0.273 0.273 0.000
Ni2 0.500 0.500 0.500
Ni3 0.727 0.727 0.000
B1 0.113 0.113 0.500
B2 0.115 0.414 0.500
B3 0.414 0.115 0.500
B4 0.586 0.885 0.500
B5 0.885 0.586 0.500
B6 0.887 0.887 0.500

Main lines, in order of rising 2θ (2θ = 5–70°):
d 3.865, I = 21; d 3.489, I = 36; d 2.886, I = 50; d 2.719, I = 20; d 2.710, I = 16; d 2.224, I = 100; d 2.170, I = 18; d 1.932, I = 16; d 1.745, I = 14; d 1.493, I = 14